No. 1
Theoretical powder XRD pattern of Sr2PrFe3O9 for λ = 1.5418 Å (Cu Kα), from DFT lattice parameters and positions (GGA+U).
Lines closer than 0.1° are merged.

Peak list (10 most intense, 15 to 90 degrees two-theta, in order of rising 2θ)
| h k l | two_theta | I (rel.) |
| --- | --- | --- |
| 2 0 -4 | 32.2 | 20 |
| 1 1 4 | 32.4 | 100 |
| 2 2 2 | 40.0 | 9 |
| 2 2 -4 | 46.3 | 28 |
| 4 0 4 | 46.6 | 14 |
| 5 1 -4 | 57.4 | 8 |
| 1 1 -8 | 57.5 | 8 |
| 6 0 0 | 57.7 | 12 |
| 4 2 4 | 57.9 | 12 |
| 0 4 0 | 67.7 | 12 |

Atomic structure:
a b c (Å): 9.594 5.531 13.570
angles (deg): 90.00 90.63 90.00
Space group C2/m (No. 12)
Inequivalent atoms, fractional coordinates:
Sr: 0.165 0.000 0.083 [4 per cell]
Sr: 0.168 0.000 0.584 [4 per cell]
Pr: 0.008 0.500 0.750 [4 per cell]
Fe: 0.000 0.500 0.000 [2 per cell]
Fe: 0.000 0.500 0.500 [2 per cell]
Fe: 0.167 0.000 0.334 [4 per cell]
Fe: 0.167 0.000 0.834 [4 per cell]
O: 0.014 0.000 0.237 [4 per cell]
O: 0.067 0.257 0.404 [8 per cell]
O: 0.096 0.253 0.921 [8 per cell]
O: 0.148 0.500 0.103 [4 per cell]
O: 0.179 0.500 0.571 [4 per cell]
O: 0.230 0.255 0.743 [8 per cell]



No. 2
Theoretical powder XRD pattern of Li3Fe8B8O24 for λ = 1.5418 Å (Cu Kα), from DFT lattice parameters and positions (GGA+U).
Lines closer than 0.1° are merged.

Peak list (10 most intense, 15 to 90 degrees two-theta, in order of rising 2θ)
| h k l | two_theta | I (rel.) |
| --- | --- | --- |
| 0 2 1 | 19.7 | 85 |
| 1 1 2 | 21.4 | 83 |
| 1 -1 1 | 21.5 | 79 |
| 1 1 -1 | 25.9 | 42 |
| -1 1 2 | 26.1 | 36 |
| 1 -1 2 | 26.4 | 58 |
| 1 3 2 | 34.1 | 38 |
| -1 3 1 | 34.4 | 35 |
| 0 0 4 | 35.3 | 100 |
| 1 -1 5 | 49.3 | 31 |

Atomic structure:
a b c (Å): 5.304 9.032 11.381
angles (deg): 66.82 77.38 89.39
Space group P1 (No. 1)
Inequivalent atoms, fractional coordinates:
Li: 0.000 0.000 0.000 [1 per cell]
Li: 0.071 0.385 0.259 [1 per cell]
Li: 0.509 0.497 0.998 [1 per cell]
Fe: 0.024 0.686 0.969 [1 per cell]
Fe: 0.079 0.060 0.225 [1 per cell]
Fe: 0.271 0.604 0.479 [1 per cell]
Fe: 0.325 0.987 0.712 [1 per cell]
Fe: 0.525 0.177 0.971 [1 per cell]
Fe: 0.582 0.561 0.232 [1 per cell]
Fe: 0.763 0.109 0.477 [1 per cell]
Fe: 0.821 0.480 0.723 [1 per cell]
B: 0.019 0.352 0.977 [1 per cell]
B: 0.083 0.729 0.218 [1 per cell]
B: 0.271 0.938 0.473 [1 per cell]
B: 0.319 0.316 0.726 [1 per cell]
B: 0.534 0.847 0.970 [1 per cell]
B: 0.569 0.232 0.216 [1 per cell]
B: 0.788 0.443 0.473 [1 per cell]
B: 0.813 0.813 0.730 [1 per cell]
O: 0.041 0.814 0.776 [1 per cell]
O: 0.061 0.987 0.414 [1 per cell]
O: 0.117 0.200 0.017 [1 per cell]
O: 0.147 0.480 0.984 [1 per cell]
O: 0.197 0.460 0.685 [1 per cell]
O: 0.214 0.176 0.732 [1 per cell]
O: 0.272 0.677 0.286 [1 per cell]
O: 0.293 0.858 0.933 [1 per cell]
O: 0.369 0.040 0.522 [1 per cell]
O: 0.374 0.797 0.485 [1 per cell]
O: 0.452 0.122 0.183 [1 per cell]
O: 0.454 0.373 0.206 [1 per cell]
O: 0.545 0.318 0.768 [1 per cell]
O: 0.555 0.484 0.437 [1 per cell]
O: 0.640 0.695 0.006 [1 per cell]
O: 0.659 0.973 0.973 [1 per cell]
O: 0.694 0.955 0.688 [1 per cell]
O: 0.714 0.674 0.733 [1 per cell]
O: 0.792 0.374 0.932 [1 per cell]
O: 0.806 0.204 0.253 [1 per cell]
O: 0.892 0.538 0.526 [1 per cell]
O: 0.915 0.324 0.447 [1 per cell]
O: 0.983 0.625 0.169 [1 per cell]
O: 0.992 0.879 0.191 [1 per cell]



No. 3
Theoretical powder XRD pattern of Na2FeO3 for λ = 1.5418 Å (Cu Kα), from DFT lattice parameters and positions (GGA+U).
Lines closer than 0.1° are merged.

Peak list (10 most intense, 15 to 90 degrees two-theta, in order of rising 2θ)
| h k l | two_theta | I (rel.) |
| --- | --- | --- |
| 0 0 1 | 16.4 | 99 |
| 0 0 2 | 33.2 | 29 |
| 1 -1 1 | 34.5 | 24 |
| 1 2 1 | 35.2 | 22 |
| -1 1 1 | 39.0 | 100 |
| 2 1 2 | 40.5 | 78 |
| 1 2 -1 | 41.1 | 76 |
| 1 2 3 | 56.3 | 25 |
| 2 1 -2 | 57.3 | 24 |
| 0 3 0 | 58.5 | 22 |

Atomic structure:
a b c (Å): 5.322 5.333 5.690
angles (deg): 80.12 71.70 62.57
Space group P-1 (No. 2)
Inequivalent atoms, fractional coordinates:
Na: 0.000 0.000 0.000 [1 per cell]
Na: 0.158 0.684 0.493 [2 per cell]
Na: 0.500 0.000 0.500 [1 per cell]
Fe: 0.327 0.334 0.002 [2 per cell]
O: 0.099 0.360 0.794 [2 per cell]
O: 0.286 0.028 0.207 [2 per cell]
O: 0.452 0.616 0.802 [2 per cell]



No. 4
Theoretical powder XRD pattern of Mn3O4 for λ = 1.5418 Å (Cu Kα), from DFT lattice parameters and positions (GGA+U).
Lines closer than 0.1° are merged.

Peak list (10 most intense, 15 to 90 degrees two-theta, in order of rising 2θ)
| h k l | two_theta | I (rel.) |
| --- | --- | --- |
| 0 2 0 | 16.4 | 31 |
| 0 2 1 | 18.0 | 100 |
| 0 0 4 | 29.7 | 40 |
| 0 4 0 | 33.0 | 29 |
| 1 3 1 | 38.5 | 24 |
| 1 3 2 | 40.8 | 56 |
| 0 2 5 | 41.1 | 38 |
| 1 5 0 | 51.1 | 26 |
| 1 3 5 | 54.2 | 18 |
| 1 1 7 | 62.1 | 19 |

Atomic structure:
a b c (Å): 3.169 10.829 12.023
angles (deg): 90.00 90.00 90.00
Space group Pbcm (No. 57)
Inequivalent atoms, fractional coordinates:
Mn: 0.246 0.124 0.034 [8 per cell]
Mn: 0.251 0.555 0.250 [4 per cell]
O: 0.249 0.146 0.250 [4 per cell]
O: 0.252 0.517 0.095 [8 per cell]
O: 0.257 0.750 0.000 [4 per cell]